[1]
# InGaHg4Pb
Simulated powder diffractogram, a wavelength of 1.5418 Å. Input: a DFT-relaxed cell (PBE, Alexandria).
Peak positions follow from Bragg's law for the DFT cell and can differ from measured ones.

Structural model:
a b c (Å): 11.8530 6.4099 9.9042
angles (deg): 90.00 94.24 90.00
Space group C2/m (No. 12)
One atom of each set of equivalent atoms:
In 0.1338 0.0000 0.4165 [4 per cell]
Ga 0.2291 0.0000 0.9635 [4 per cell]
Hg 0.0834 0.2514 0.1271 [8 per cell]
Hg 0.1153 0.0000 0.7141 [4 per cell]
Hg 0.1215 0.5000 0.4235 [4 per cell]
Pb 0.1380 0.5000 0.7635 [4 per cell]

The 10 most intense peaks (2θ from 5° to 70°), by angle:
- hkl 0 2 1, 2θ 29.3, I = 58
- hkl 2 0 -3, 2θ 30.1, I = 52
- hkl 4 0 0, 2θ 30.2, I = 72
- hkl 2 0 3, 2θ 32.1, I = 100
- hkl 2 2 -1, 2θ 32.7, I = 84
- hkl 4 0 -2, 2θ 34.2, I = 32
- hkl 2 2 -2, 2θ 36.1, I = 49
- hkl 2 2 2, 2θ 37.3, I = 32
- hkl 4 2 1, 2θ 43.1, I = 42
- hkl 6 2 -3, 2θ 60.3, I = 33

---

[2]
# Cs2NdSiS4
Simulated powder diffractogram, a wavelength of 1.5418 Å. Input: a DFT-relaxed cell (PBE, Alexandria).
Peak positions follow from Bragg's law for the DFT cell and can differ from measured ones.

Structural model:
a b c (Å): 6.7165 14.5117 26.1501
angles (deg): 90.00 90.00 90.00
Space group Fddd (No. 70, origin choice 2)
One atom of each set of equivalent atoms:
Cs 0.1250 0.1250 0.3052 [16 per cell]
Nd 0.1250 0.1250 0.1250 [8 per cell]
Si 0.1250 0.1250 0.6250 [8 per cell]
S 0.0674 0.2875 0.8287 [32 per cell]

The 10 most intense peaks (2θ from 5° to 70°), by angle:
- hkl 0 0 4, 2θ 13.5, I = 43
- hkl 1 1 1, 2θ 14.9, I = 50
- hkl 1 1 5, 2θ 22.4, I = 48
- hkl 1 3 1, 2θ 22.9, I = 51
- hkl 0 2 6, 2θ 23.8, I = 100
- hkl 1 3 5, 2θ 28.4, I = 87
- hkl 2 2 0, 2θ 29.3, I = 58
- hkl 2 0 6, 2θ 33.7, I = 47
- hkl 2 4 6, 2θ 42.1, I = 44
- hkl 0 6 10, 2θ 51.5, I = 39

---

[3]
# Zn5Cd2Au3
Simulated powder diffractogram, a wavelength of 1.5418 Å. Input: a DFT-relaxed cell (PBE, Alexandria).
Peak positions follow from Bragg's law for the DFT cell and can differ from measured ones.

Structural model:
a b c (Å): 9.9657 12.9734 5.4270
angles (deg): 90.00 98.26 90.00
Space group C2/c (No. 15)
One atom of each set of equivalent atoms:
Zn 0.0000 0.0256 0.2500 [4 per cell]
Zn 0.1313 0.3512 0.6250 [8 per cell]
Zn 0.2426 0.4678 0.0141 [8 per cell]
Cd 0.1219 0.2477 0.1131 [8 per cell]
Au 0.0000 0.4648 0.2500 [4 per cell]
Au 0.1309 0.1454 0.6117 [8 per cell]

The 10 most intense peaks (2θ from 5° to 70°), by angle:
- hkl 0 2 1, 2θ 21.5, I = 18
- hkl 1 3 0, 2θ 22.4, I = 24
- hkl 3 3 -1, 2θ 36.4, I = 53
- hkl 2 2 -2, 2θ 38.4, I = 51
- hkl 4 2 0, 2θ 39.1, I = 49
- hkl 1 5 1, 2θ 40.2, I = 100
- hkl 2 0 2, 2θ 40.5, I = 55
- hkl 2 4 -2, 2θ 45.6, I = 14
- hkl 4 4 0, 2θ 46.3, I = 26
- hkl 6 0 -2, 2θ 61.8, I = 14

---

[4]
# Ce2PmSi6
Simulated powder diffractogram, a wavelength of 1.5418 Å. Input: a DFT-relaxed cell (PBE, Alexandria).
Peak positions follow from Bragg's law for the DFT cell and can differ from measured ones.

Structural model:
a b c (Å): 7.0660 7.0660 4.1328
angles (deg): 90.00 90.00 120.00
Space group P6/mmm (No. 191)
One atom of each set of equivalent atoms:
Ce 0.3333 0.6667 0.0000 [2 per cell]
Pm 0.0000 0.0000 0.0000 [1 per cell]
Si 0.0000 0.3342 0.5000 [6 per cell]

The 10 most intense peaks (2θ from 5° to 70°), by angle:
- hkl 0 0 1, 2θ 21.5, I = 11
- hkl 1 1 0, 2θ 25.2, I = 44
- hkl 1 1 1, 2θ 33.4, I = 100
- hkl 0 0 2, 2θ 43.8, I = 11
- hkl 3 0 0, 2θ 44.4, I = 30
- hkl 3 0 1, 2θ 49.9, I = 8
- hkl 1 1 2, 2θ 51.2, I = 13
- hkl 2 2 0, 2θ 51.8, I = 6
- hkl 2 2 1, 2θ 56.7, I = 22
- hkl 3 0 2, 2θ 64.2, I = 20